No. 1
# NdMoO5
Computed X-ray powder pattern, a wavelength of 1.5418 Å. Input: a structure optimized by DFT (GGA+U).

```
data_NdMoO5
_cell_length_a 5.5061
_cell_length_b 12.8848
_cell_length_c 7.1517
_cell_angle_alpha 90.00
_cell_angle_beta 115.46
_cell_angle_gamma 90.00
_space_group_name_H-M_alt 'P 1 21/c 1'
_space_group_IT_number 14
_space_group_name_Hall '-P 2ybc'
loop_
_atom_site_label
_atom_site_fract_x
_atom_site_fract_y
_atom_site_fract_z
Nd1 0.1494 0.0578 0.2869
Mo1 0.4112 0.1366 0.8537
O1 0.0023 0.5764 0.9509
O2 0.2069 0.0649 0.9590
O3 0.2751 0.6503 0.4274
O4 0.2925 0.2351 0.2841
O5 0.4922 0.5722 0.8376
```

Largest 8 diffraction maxima, low angle first, 2θ from 5° to 70°:
hkl, Position (°2θ), I (rel.)
0 2 0, 13.7, 100
1 1 0, 19.1, 71
1 2 -1, 22.1, 82
1 0 -2, 25.6, 53
1 3 -1, 27.0, 60
1 3 0, 27.4, 56
1 1 1, 27.8, 57
0 4 1, 31.0, 55


No. 2
# LiMn2O4
Computed X-ray powder pattern, a wavelength of 1.5418 Å. Input: a structure optimized by DFT (GGA+U).

```
data_LiMn2O4
_cell_length_a 5.8660
_cell_length_b 5.8660
_cell_length_c 9.7639
_cell_angle_alpha 90.00
_cell_angle_beta 90.00
_cell_angle_gamma 120.00
_space_group_name_H-M_alt 'P 63 m c'
_space_group_IT_number 186
_space_group_name_Hall 'P 6c -2c'
loop_
_atom_site_label
_atom_site_fract_x
_atom_site_fract_y
_atom_site_fract_z
Li1 0.0000 0.0000 0.0000
Li2 0.3333 0.6667 0.3894
Mn1 0.1689 0.3377 0.7180
Mn2 0.3333 0.6667 0.9958
O1 0.0000 0.0000 0.3144
O2 0.0336 0.5168 0.8323
O3 0.1581 0.3162 0.1095
O4 0.3333 0.6667 0.6121
```

Largest 8 diffraction maxima, low angle first, 2θ from 5° to 70°:
hkl, Position (°2θ), I (rel.)
0 0 2, 18.2, 86
1 0 1, 19.7, 100
1 1 2, 35.7, 60
2 0 1, 36.6, 55
2 0 2, 40.0, 42
2 0 3, 45.3, 63
2 0 5, 59.7, 54
2 2 0, 63.4, 43


No. 3
# MgCo6O9F3
Computed X-ray powder pattern, a wavelength of 1.5418 Å. Input: a structure optimized by DFT (GGA+U).

```
data_MgCo6O9F3
_cell_length_a 5.5679
_cell_length_b 5.7581
_cell_length_c 6.7460
_cell_angle_alpha 71.31
_cell_angle_beta 76.12
_cell_angle_gamma 83.05
_space_group_name_H-M_alt 'P 1'
_space_group_IT_number 1
_space_group_name_Hall 'P 1'
loop_
_atom_site_label
_atom_site_fract_x
_atom_site_fract_y
_atom_site_fract_z
Mg1 0.0000 0.0000 0.0000
Co1 0.0005 0.5028 0.9955
Co2 0.0131 0.4920 0.4950
Co3 0.3408 0.8355 0.6510
Co4 0.4351 0.7493 0.1604
Co5 0.5697 0.2585 0.8299
Co6 0.6578 0.1745 0.3398
O1 0.0895 0.6362 0.1879
O2 0.2696 0.7013 0.4532
O3 0.3399 0.5093 0.8471
O4 0.3477 0.1636 0.4661
O5 0.3783 0.9713 0.8729
O6 0.6217 0.0392 0.1192
O7 0.6577 0.4919 0.1482
O8 0.7424 0.3025 0.5366
O9 0.9203 0.3621 0.8042
F1 0.0159 0.1546 0.2133
F2 0.7066 0.8386 0.5076
F3 0.9602 0.8508 0.7939
```

Largest 8 diffraction maxima, low angle first, 2θ from 5° to 70°:
hkl, Position (°2θ), I (rel.)
1 -1 0, 23.8, 100
1 -1 1, 28.5, 19
1 1 2, 29.1, 89
1 2 0, 36.2, 49
2 1 0, 36.4, 35
0 2 2, 36.6, 24
0 1 -2, 37.3, 30
2 0 -1, 39.1, 24